Computed X-ray powder pattern of Li3NiO2F2 for Cu Kα X-rays, from a cell relaxed with PBE+U.
No peak broadening, texture or thermal motion is included.

Atomic structure:
Cell: 5.016 5.864 4.981 Å, 90.00 107.70 90.00°
Sites, in units of the cell vectors:
Li1 0.000 0.117 0.250
Li2 0.000 0.361 0.750
Li3 0.000 0.639 0.250
Li4 0.000 0.883 0.750
Li5 0.500 0.366 0.250
Li6 0.500 0.634 0.750
Ni1 0.500 0.111 0.750
Ni2 0.500 0.889 0.250
O1 0.272 0.113 0.985
O2 0.272 0.887 0.485
O3 0.728 0.113 0.515
O4 0.728 0.887 0.015
F1 0.250 0.378 0.505
F2 0.250 0.622 0.005
F3 0.750 0.378 0.995
F4 0.750 0.622 0.495

Most intense lines, 2θ from 5° to 70°, low angle first:
h k l, two_theta, I/Imax
0 1 0, 15.11, 69
1 0 0, 18.57, 90
1 1 0, 24.02, 57
0 1 1, 24.13, 39
1 2 1, 43.53, 100
2 0 -2, 44.92, 44